# 1
Na2ReO3: theoretical powder diffractogram (Cu Kα (weighted mean of Kα1 and Kα2)), based on a GGA-PBE-relaxed structure.
Lines closer than 0.1° are merged.

Peak list (6 most intense, 2θ from 15° to 90°, most intense first)
h k l  2θ (°)  I (rel.)
1 0 0  18.15  1000
1 1 0  31.70  426
1 0 4  34.32  407
1 0 2  23.20  205
1 0 6  47.91  180
2 1 4  58.17  168

Structure:
abc: 5.6446 5.6446 12.3644
angles: 90.00 90.00 120.00
Space group P6_3/mcm (No. 193)
Asymmetric unit:
Na: 0.3333 0.6667 0.0000 [4 per cell]
Na: 0.3333 0.6667 0.2500 [4 per cell]
Re: 0.0000 0.0000 0.1557 [4 per cell]
O: 0.0000 0.3182 0.1242 [12 per cell]

# 2
Na2ReSnO6: theoretical powder diffractogram (Cu Kα (weighted mean of Kα1 and Kα2)), based on a GGA-PBE-relaxed structure.
Lines closer than 0.1° are merged.

Peak list (6 most intense, 2θ from 15° to 90°, most intense first)
h k l  2θ (°)  I (rel.)
1 1 0  22.24  1000
1 1 1  31.94  981
2 0 0  31.66  502
0 0 1  22.63  479
3 1 1  56.57  404
2 2 0  45.39  359

Structure:
abc: 5.6518 5.6518 3.9293
angles: 90.00 90.00 90.00
Space group P4/mmm (No. 123)
Asymmetric unit:
Na: 0.0000 0.5000 0.0000 [2 per cell]
Re: 0.0000 0.0000 0.5000 [1 per cell]
Sn: 0.5000 0.5000 0.5000 [1 per cell]
O: 0.0000 0.0000 0.0000 [1 per cell]
O: 0.2390 0.2390 0.5000 [4 per cell]
O: 0.5000 0.5000 0.0000 [1 per cell]

# 3
NaSrReO4: theoretical powder diffractogram (Cu Kα (weighted mean of Kα1 and Kα2)), based on a GGA-PBE-relaxed structure.
Lines closer than 0.1° are merged.

Peak list (6 most intense, 2θ from 15° to 90°, most intense first)
h k l  2θ (°)  I (rel.)
2 2 0  27.34  1000
2 0 0  19.24  880
1 1 1  16.64  442
4 2 2  48.33  412
4 2 0  43.89  355
2 2 2  33.65  285

Structure:
abc: 9.2254 9.2254 9.2254
angles: 90.00 90.00 90.00
Space group F-43m (No. 216)
Asymmetric unit:
Na: 0.0000 0.0000 0.0000 [4 per cell]
Sr: 0.2500 0.2500 0.7500 [4 per cell]
Re: 0.2500 0.2500 0.2500 [4 per cell]
O: 0.1386 0.1386 0.1386 [16 per cell]

# 4
Na2SrReO4: theoretical powder diffractogram (Cu Kα (weighted mean of Kα1 and Kα2)), based on a GGA-PBE-relaxed structure.
Lines closer than 0.1° are merged.

Peak list (6 most intense, 2θ from 15° to 90°, most intense first)
h k l  2θ (°)  I (rel.)
1 0 1  19.82  1000
1 1 2  33.81  841
1 3 2  55.99  392
2 0 0  30.20  365
1 2 1  36.39  357
2 2 0  43.24  283

Structure:
abc: 5.9178 5.9178 6.8549
angles: 90.00 90.00 90.00
Space group I-4 (No. 82)
Asymmetric unit:
Na: 0.0000 0.0000 0.0000 [2 per cell]
Na: 0.0000 0.5000 0.2500 [2 per cell]
Sr: 0.0000 0.5000 0.7500 [2 per cell]
Re: 0.0000 0.0000 0.5000 [2 per cell]
O: 0.2004 0.2498 0.4854 [8 per cell]

# 5
Na2TaReO6: theoretical powder diffractogram (Cu Kα (weighted mean of Kα1 and Kα2)), based on a GGA-PBE-relaxed structure.
Lines closer than 0.1° are merged.

Peak list (6 most intense, 2θ from 15° to 90°, most intense first)
h k l  2θ (°)  I (rel.)
1 1 0  22.59  1000
2 0 0  32.17  968
3 1 0  51.91  283
3 1 1  57.32  259
2 2 0  46.08  212
1 1 2  52.04  141

Structure:
abc: 5.5716 5.5716 3.9267
angles: 90.00 90.00 90.00
Space group P4/mmm (No. 123)
Asymmetric unit:
Na: 0.0000 0.5000 0.0000 [2 per cell]
Ta: 0.0000 0.0000 0.5000 [1 per cell]
Re: 0.5000 0.5000 0.5000 [1 per cell]
O: 0.0000 0.0000 0.0000 [1 per cell]
O: 0.2527 0.2527 0.5000 [4 per cell]
O: 0.5000 0.5000 0.0000 [1 per cell]

# 6
Na2ZnReO6: theoretical powder diffractogram (Cu Kα (weighted mean of Kα1 and Kα2)), based on a GGA-PBE-relaxed structure.
Lines closer than 0.1° are merged.

Peak list (6 most intense, 2θ from 15° to 90°, most intense first)
h k l  2θ (°)  I (rel.)
0 1 2  22.68  1000
1 0 4  31.96  584
1 1 0  32.61  512
1 0 1  19.73  366
0 2 4  46.31  365
3 -1 4  57.78  234

Structure:
abc: 5.4926 5.4926 13.8557
angles: 90.00 90.00 120.00
Space group R3 (No. 146, hexagonal axes)
Asymmetric unit:
Na: 0.0000 0.0000 0.0000 [3 per cell]
Na: 0.0000 0.0000 0.4952 [3 per cell]
Zn: 0.0000 0.0000 0.7391 [3 per cell]
Re: 0.0000 0.0000 0.2375 [3 per cell]
O: 0.0130 0.4361 0.9709 [9 per cell]
O: 0.1145 0.7537 0.8111 [9 per cell]

# 7
NaZrReO6: theoretical powder diffractogram (Cu Kα (weighted mean of Kα1 and Kα2)), based on a GGA-PBE-relaxed structure.
Lines closer than 0.1° are merged.

Peak list (6 most intense, 2θ from 15° to 90°, most intense first)
h k l  2θ (°)  I (rel.)
0 1 1  25.82  1000
0 0 1  17.29  906
1 0 0  19.03  711
2 -1 1  37.73  628
1 1 0  33.27  475
2 -1 2  49.05  475

Structure:
abc: 5.3860 5.3860 5.1301
angles: 90.00 90.00 120.00
Space group P3 (No. 143)
Asymmetric unit:
Na: 0.0000 0.0000 0.0000 [1 per cell]
Zr: 0.3333 0.6667 0.4459 [1 per cell]
Re: 0.6667 0.3333 0.5194 [1 per cell]
O: 0.3893 0.3539 0.2831 [3 per cell]
O: 0.3918 0.0227 0.7042 [3 per cell]

# 8
Na2RhO3: theoretical powder diffractogram (Cu Kα (weighted mean of Kα1 and Kα2)), based on a GGA-PBE-relaxed structure.
Lines closer than 0.1° are merged.

Peak list (6 most intense, 2θ from 15° to 90°, most intense first)
h k l  2θ (°)  I (rel.)
1 1 0  19.09  1000
1 3 1  40.80  902
1 3 -1  34.58  524
2 0 -2  38.91  487
0 2 1  25.97  446
1 3 -3  59.18  390

Structure:
abc: 5.7724 9.4001 5.4150
angles: 90.00 112.06 90.00
Space group C2/c (No. 15)
Asymmetric unit:
Na: 0.0000 0.0832 0.2500 [4 per cell]
Na: 0.0000 0.2400 0.7500 [4 per cell]
Rh: 0.0000 0.4127 0.2500 [4 per cell]
O: 0.1956 0.4337 0.0040 [8 per cell]
O: 0.2500 0.2500 0.5000 [4 per cell]